[1]
# Mn3PdN
Calculated powder diffractogram, Cu Kα. Input: a GGA-PBE-relaxed structure.

Crystal structure
Cell: 3.9428 3.9428 3.9428 Å, 90.00 90.00 90.00°
Space group Pm-3m (No. 221)
Symmetry-distinct sites (fractional):
Mn 0.0000 0.0000 0.5000 (multiplicity 3)
Pd 0.5000 0.5000 0.5000 (multiplicity 1)
N 0.0000 0.0000 0.0000 (multiplicity 1)

Most intense lines, 15 to 90 degrees two-theta, in order of rising 2θ:
hkl	d/Å	I/Imax
1 0 0	3.943	6
1 1 0	2.788	17
1 1 1	2.276	100
2 0 0	1.971	57
2 1 0	1.763	4
2 1 1	1.610	6
2 2 0	1.394	34
3 1 0	1.247	3
3 1 1	1.189	34
2 2 2	1.138	11

[2]
# MnPd2N2
Calculated powder diffractogram, Cu Kα. Input: a GGA-PBE-relaxed structure.

Crystal structure
Cell: 5.2281 2.8451 7.8055 Å, 90.00 105.24 90.00°
Space group C2/m (No. 12)
Symmetry-distinct sites (fractional):
Mn 0.0000 0.0000 0.0000 (multiplicity 2)
Pd 0.2392 0.5000 0.6495 (multiplicity 4)
N 0.2338 0.5000 0.1401 (multiplicity 4)

Most intense lines, 15 to 90 degrees two-theta, in order of rising 2θ:
hkl	d/Å	I/Imax
2 0 -1	2.607	27
2 0 0	2.522	40
0 0 3	2.510	64
1 1 -1	2.450	100
2 0 -2	2.409	26
2 0 1	2.222	28
1 1 -2	2.205	45
1 1 2	1.957	91
1 1 -4	1.602	23
3 1 -2	1.467	28

[3]
# Mn12Pt4N
Calculated powder diffractogram, Cu Kα. Input: a GGA-PBE-relaxed structure.

Crystal structure
Cell: 4.1978 5.2637 9.3067 Å, 90.00 90.16 90.00°
Space group P2/m (No. 10)
Symmetry-distinct sites (fractional):
Mn 0.2353 0.0000 0.1706 (multiplicity 2)
Mn 0.2403 0.2578 0.9140 (multiplicity 4)
Mn 0.2479 0.2728 0.4276 (multiplicity 4)
Mn 0.2475 0.5000 0.6454 (multiplicity 2)
Pt 0.2524 0.0000 0.6585 (multiplicity 2)
Pt 0.2538 0.5000 0.1774 (multiplicity 2)
N 0.5000 0.0000 0.0000 (multiplicity 1)

Most intense lines, 15 to 90 degrees two-theta, in order of rising 2θ:
hkl	d/Å	I/Imax
1 0 2	3.117	26
1 1 -1	3.095	53
0 1 3	2.673	24
0 2 2	2.291	25
2 0 0	2.099	39
1 0 -4	2.037	27
1 0 4	2.033	25
1 2 2	2.011	100
2 2 -2	1.548	15
0 2 6	1.337	18